Record 1
The following is a theoretical powder diffraction line list of Ta2Be16C. It was derived from a PBE-relaxed structure, using a wavelength of 1.5418 Å.

```
Ta2Be16C
1.0
3.716 2.145 3.494
-3.716 2.145 3.494
0.000 -4.291 3.494
Ta Be C
2 16 1
direct
0.000 0.000 0.000
0.340 0.340 0.340
0.009 0.009 0.501
0.009 0.501 0.009
0.163 0.666 0.666
0.323 0.323 0.833
0.323 0.833 0.323
0.350 0.669 0.983
0.350 0.983 0.669
0.501 0.009 0.009
0.666 0.163 0.666
0.666 0.666 0.163
0.669 0.350 0.983
0.669 0.983 0.350
0.728 0.728 0.728
0.833 0.323 0.323
0.983 0.350 0.669
0.983 0.669 0.350
0.551 0.551 0.551
```

Top 6 peaks for 15 to 90 degrees two-theta, in order of falling intensity:
2θ (°), I/Imax
23.95, 100
35.26, 83
16.16, 53
49.88, 41
21.87, 37
42.12, 31



Record 2
The following is a theoretical powder diffraction line list of Tb3BeC2. It was derived from a PBE-relaxed structure, using a wavelength of 1.5418 Å.

```
Tb3BeC2
1.0
-3.394 4.355 3.673
3.394 -4.355 3.673
3.394 4.355 -3.673
Tb Be C
6 2 4
direct
0.203 0.000 0.703
0.203 0.500 0.203
0.287 0.037 0.250
0.713 0.963 0.750
0.797 0.000 0.297
0.797 0.500 0.797
0.318 0.568 0.750
0.682 0.432 0.250
0.069 0.319 0.750
0.500 0.000 0.000
0.500 0.500 0.500
0.931 0.681 0.250
```

Top 6 peaks for 15 to 90 degrees two-theta, in order of falling intensity:
2θ (°), I/Imax
33.48, 100
36.03, 97
31.87, 95
17.79, 52
56.10, 51
61.16, 46



Record 3
The following is a theoretical powder diffraction line list of Th6BeC5. It was derived from a PBE-relaxed structure, using a wavelength of 1.5418 Å.

```
Th6BeC5
1.0
6.488 0.000 0.000
-3.244 5.619 0.000
0.000 0.000 12.902
Th Be C
12 2 10
direct
0.000 0.365 0.122
0.000 0.365 0.378
0.000 0.635 0.622
0.000 0.635 0.878
0.365 0.000 0.122
0.365 0.000 0.378
0.365 0.365 0.622
0.365 0.365 0.878
0.635 0.000 0.622
0.635 0.000 0.878
0.635 0.635 0.122
0.635 0.635 0.378
0.000 0.000 0.250
0.000 0.000 0.750
0.000 0.286 0.750
0.000 0.714 0.250
0.286 0.000 0.750
0.286 0.286 0.250
0.333 0.667 0.000
0.333 0.667 0.500
0.667 0.333 0.000
0.667 0.333 0.500
0.714 0.000 0.250
0.714 0.714 0.750
```

Top 6 peaks for 15 to 90 degrees two-theta, in order of falling intensity:
2θ (°), I/Imax
28.37, 100
34.64, 78
27.66, 52
56.84, 39
27.50, 39
39.39, 33